[1]
Starting from a DFT-relaxed cell (PBE, Alexandria), the X-ray powder pattern of CsHoBeO3 was calculated for CuKα.
Kinematic intensities with the Lorentz-polarization factor, no thermal factor.

Cell and atoms:
Cell lengths 7.9539, 3.4452, 8.2061 Å; angles 90.00, 112.60, 90.00 degrees
Positions (direct):
Cs  0.2414  0.2500  0.2126
Cs  0.7586  0.7500  0.7874
Ho  0.1585  0.2500  0.6648
Ho  0.8415  0.7500  0.3352
Be  0.3937  0.7500  0.9374
Be  0.6063  0.2500  0.0626
O  0.1447  0.7500  0.4801
O  0.1819  0.7500  0.8579
O  0.4579  0.2500  0.8689
O  0.5421  0.7500  0.1311
O  0.8181  0.2500  0.1421
O  0.8553  0.2500  0.5199

The 12 most intense peaks (2θ from 10° to 90°), in order of rising 2θ:
- 2θ = 12.05°, rel. 53
- 2θ = 13.18°, rel. 31
- 2θ = 23.49°, rel. 46
- 2θ = 24.24°, rel. 51
- 2θ = 26.53°, rel. 84
- 2θ = 28.62°, rel. 100
- 2θ = 30.43°, rel. 29
- 2θ = 34.12°, rel. 99
- 2θ = 35.21°, rel. 46
- 2θ = 44.18°, rel. 33
- 2θ = 48.46°, rel. 24
- 2θ = 55.41°, rel. 34



[2]
Starting from a DFT-relaxed cell (PBE, Alexandria), the X-ray powder pattern of Y2Tm3Ga4 was calculated for CuKα.
Kinematic intensities with the Lorentz-polarization factor, no thermal factor.

Cell and atoms:
Cell lengths 7.8432, 7.8766, 7.3874 Å; angles 90.00, 106.79, 90.00 degrees
Positions (direct):
Y  0.1911  0.1831  0.0737
Y  0.1911  0.3169  0.5737
Y  0.8089  0.6831  0.4263
Y  0.8089  0.8169  0.9263
Tm  0.2405  0.6754  0.2504
Tm  0.2405  0.8246  0.7504
Tm  0.5000  0.0000  0.5000
Tm  0.5000  0.5000  0.0000
Tm  0.7595  0.1754  0.2496
Tm  0.7595  0.3246  0.7496
Ga  0.0811  0.5289  0.8633
Ga  0.0811  0.9711  0.3633
Ga  0.4902  0.1233  0.8774
Ga  0.4902  0.3767  0.3774
Ga  0.5098  0.6233  0.6226
Ga  0.5098  0.8767  0.1226
Ga  0.9189  0.0289  0.6367
Ga  0.9189  0.4711  0.1367

The 12 most intense peaks (2θ from 10° to 90°), in order of rising 2θ:
- 2θ = 16.31°, rel. 20
- 2θ = 29.27°, rel. 18
- 2θ = 31.44°, rel. 16
- 2θ = 32.12°, rel. 16
- 2θ = 32.74°, rel. 48
- 2θ = 32.97°, rel. 100
- 2θ = 33.58°, rel. 20
- 2θ = 35.88°, rel. 18
- 2θ = 36.50°, rel. 29
- 2θ = 37.28°, rel. 25
- 2θ = 38.31°, rel. 40
- 2θ = 56.37°, rel. 14



[3]
Starting from a DFT-relaxed cell (PBE, Alexandria), the X-ray powder pattern of Al2Te2Cl7 was calculated for CuKα.
Kinematic intensities with the Lorentz-polarization factor, no thermal factor.

Cell and atoms:
Cell lengths 9.7966, 11.6754, 13.6181 Å; angles 90.00, 95.50, 90.00 degrees
Positions (direct):
Al  0.1117  0.1742  0.1964
Al  0.1117  0.3258  0.6964
Al  0.2616  0.5841  0.3418
Al  0.2616  0.9159  0.8418
Al  0.7384  0.0841  0.1582
Al  0.7384  0.4159  0.6582
Al  0.8883  0.6742  0.3036
Al  0.8883  0.8258  0.8036
Te  0.3313  0.5664  0.9424
Te  0.3313  0.9336  0.4424
Te  0.4323  0.1498  0.4619
Te  0.4323  0.3502  0.9619
Te  0.5677  0.6498  0.0381
Te  0.5677  0.8502  0.5381
Te  0.6687  0.0664  0.5576
Te  0.6687  0.4336  0.0576
Cl  0.0307  0.1709  0.6341
Cl  0.0307  0.3291  0.1341
Cl  0.0391  0.5315  0.3555
Cl  0.0391  0.9685  0.8555
Cl  0.1216  0.1633  0.3558
Cl  0.1216  0.3367  0.8558
Cl  0.2655  0.7098  0.2295
Cl  0.2655  0.7902  0.7295
Cl  0.2991  0.1216  0.1443
Cl  0.2991  0.3784  0.6443
Cl  0.3237  0.6559  0.4855
Cl  0.3237  0.8441  0.9855
Cl  0.3628  0.0712  0.8134
Cl  0.3628  0.4288  0.3134
Cl  0.6372  0.5712  0.6866
Cl  0.6372  0.9288  0.1866
Cl  0.6763  0.1559  0.0145
Cl  0.6763  0.3441  0.5145
Cl  0.7009  0.6216  0.3557
Cl  0.7009  0.8784  0.8557
Cl  0.7345  0.2098  0.2705
Cl  0.7345  0.2902  0.7705
Cl  0.8784  0.6633  0.1442
Cl  0.8784  0.8367  0.6442
Cl  0.9609  0.0315  0.1445
Cl  0.9609  0.4685  0.6445
Cl  0.9693  0.6709  0.8659
Cl  0.9693  0.8291  0.3659

The 12 most intense peaks (2θ from 10° to 90°), in order of rising 2θ:
- 2θ = 13.08°, rel. 56
- 2θ = 13.93°, rel. 18
- 2θ = 15.19°, rel. 100
- 2θ = 21.08°, rel. 33
- 2θ = 22.22°, rel. 39
- 2θ = 27.01°, rel. 28
- 2θ = 28.50°, rel. 20
- 2θ = 30.50°, rel. 18
- 2θ = 31.51°, rel. 18
- 2θ = 32.88°, rel. 17
- 2θ = 36.14°, rel. 22
- 2θ = 42.61°, rel. 14



[4]
Starting from a DFT-relaxed cell (PBE, Alexandria), the X-ray powder pattern of CsZnIn2Ni was calculated for CuKα.
Kinematic intensities with the Lorentz-polarization factor, no thermal factor.

Cell and atoms:
Cell lengths 5.1419, 5.1419, 5.1059 Å; angles 90.00, 90.00, 90.00 degrees
Positions (direct):
Cs  0.0000  0.0000  0.0000
Zn  0.5000  0.5000  0.0000
In  0.0000  0.5000  0.5000
In  0.5000  0.0000  0.5000
Ni  0.5000  0.5000  0.5000

The 12 most intense peaks (2θ from 10° to 90°), in order of rising 2θ:
- 2θ = 24.57°, rel. 20
- 2θ = 30.18°, rel. 100
- 2θ = 34.90°, rel. 62
- 2θ = 35.15°, rel. 30
- 2θ = 50.18°, rel. 21
- 2θ = 50.37°, rel. 42
- 2θ = 59.68°, rel. 28
- 2θ = 60.02°, rel. 14
- 2θ = 62.74°, rel. 21
- 2θ = 81.95°, rel. 11
- 2θ = 84.21°, rel. 9
- 2θ = 84.36°, rel. 9



[5]
Starting from a DFT-relaxed cell (PBE, Alexandria), the X-ray powder pattern of Cs8Au3 was calculated for CuKα.
Kinematic intensities with the Lorentz-polarization factor, no thermal factor.

Cell and atoms:
Cell lengths 9.1620, 9.1620, 9.1620 Å; angles 90.16, 90.16, 90.16 degrees
Positions (direct):
Cs  0.1503  0.6725  0.3307
Cs  0.1654  0.1654  0.1654
Cs  0.3275  0.6693  0.8497
Cs  0.3307  0.1503  0.6725
Cs  0.6693  0.8497  0.3275
Cs  0.6725  0.3307  0.1503
Cs  0.8346  0.8346  0.8346
Cs  0.8497  0.3275  0.6693
Au  0.0000  0.0000  0.5000
Au  0.0000  0.5000  0.0000
Au  0.5000  0.0000  0.0000

The 12 most intense peaks (2θ from 10° to 90°), in order of rising 2θ:
- 2θ = 13.67°, rel. 20
- 2θ = 16.76°, rel. 36
- 2θ = 21.68°, rel. 100
- 2θ = 23.80°, rel. 46
- 2θ = 27.54°, rel. 56
- 2θ = 29.21°, rel. 19
- 2θ = 32.39°, rel. 61
- 2θ = 32.47°, rel. 21
- 2θ = 36.68°, rel. 47
- 2θ = 40.61°, rel. 19
- 2θ = 44.16°, rel. 18
- 2θ = 51.81°, rel. 23



[6]
Starting from a DFT-relaxed cell (PBE, Alexandria), the X-ray powder pattern of Ac6Ge3Ir was calculated for CuKα.
Kinematic intensities with the Lorentz-polarization factor, no thermal factor.

Cell and atoms:
Cell lengths 9.1946, 9.1946, 9.1946 Å; angles 98.92, 98.92, 98.92 degrees
Positions (direct):
Ac  0.0476  0.6847  0.9286
Ac  0.0714  0.9524  0.3153
Ac  0.1903  0.4259  0.5592
Ac  0.3153  0.0714  0.9524
Ac  0.4259  0.5592  0.1903
Ac  0.4408  0.8097  0.5741
Ac  0.5592  0.1903  0.4259
Ac  0.5741  0.4408  0.8097
Ac  0.6847  0.9286  0.0476
Ac  0.8097  0.5741  0.4408
Ac  0.9286  0.0476  0.6847
Ac  0.9524  0.3153  0.0714
Ge  0.1178  0.6180  0.2900
Ge  0.2900  0.1178  0.6180
Ge  0.3820  0.7100  0.8822
Ge  0.6180  0.2900  0.1178
Ge  0.7100  0.8822  0.3820
Ge  0.8822  0.3820  0.7100
Ir  0.0000  0.0000  0.0000
Ir  0.5000  0.5000  0.5000

The 12 most intense peaks (2θ from 10° to 90°), in order of rising 2θ:
- 2θ = 15.27°, rel. 24
- 2θ = 19.89°, rel. 36
- 2θ = 23.65°, rel. 100
- 2θ = 27.97°, rel. 26
- 2θ = 29.85°, rel. 87
- 2θ = 33.44°, rel. 98
- 2θ = 33.94°, rel. 86
- 2θ = 46.93°, rel. 35
- 2θ = 48.39°, rel. 27
- 2θ = 48.85°, rel. 31
- 2θ = 63.96°, rel. 22
- 2θ = 75.84°, rel. 22



[7]
Starting from a DFT-relaxed cell (PBE, Alexandria), the X-ray powder pattern of Pa3TiSn5 was calculated for CuKα.
Kinematic intensities with the Lorentz-polarization factor, no thermal factor.

Cell and atoms:
Cell lengths 9.1690, 9.1690, 6.1098 Å; angles 90.00, 90.00, 120.00 degrees
Positions (direct):
Pa  0.0000  0.3864  0.2500
Pa  0.0000  0.6136  0.7500
Pa  0.3864  0.0000  0.2500
Pa  0.3864  0.3864  0.7500
Pa  0.6136  0.0000  0.7500
Pa  0.6136  0.6136  0.2500
Ti  0.0000  0.0000  0.0000
Ti  0.0000  0.0000  0.5000
Sn  0.0000  0.2637  0.7500
Sn  0.0000  0.7363  0.2500
Sn  0.2637  0.0000  0.7500
Sn  0.2637  0.2637  0.2500
Sn  0.3333  0.6667  0.0000
Sn  0.3333  0.6667  0.5000
Sn  0.6667  0.3333  0.0000
Sn  0.6667  0.3333  0.5000
Sn  0.7363  0.0000  0.2500
Sn  0.7363  0.7363  0.7500

The 12 most intense peaks (2θ from 10° to 90°), in order of rising 2θ:
- 2θ = 24.27°, rel. 30
- 2θ = 29.23°, rel. 28
- 2θ = 33.26°, rel. 100
- 2θ = 33.87°, rel. 91
- 2θ = 35.31°, rel. 100
- 2θ = 43.69°, rel. 39
- 2θ = 49.73°, rel. 23
- 2θ = 54.45°, rel. 25
- 2θ = 60.62°, rel. 15
- 2θ = 63.88°, rel. 22
- 2θ = 66.34°, rel. 17
- 2θ = 71.28°, rel. 23



[8]
Starting from a DFT-relaxed cell (PBE, Alexandria), the X-ray powder pattern of NaLiIn2Cl4 was calculated for CuKα.
Kinematic intensities with the Lorentz-polarization factor, no thermal factor.

Cell and atoms:
Cell lengths 6.6700, 6.8069, 6.8563 Å; angles 61.48, 85.97, 62.02 degrees
Positions (direct):
Na  0.0000  0.0000  0.0000
Li  0.2229  0.4977  0.7580
In  0.5622  0.0035  0.5513
In  0.7638  0.4985  0.3286
Cl  0.1504  0.5527  0.3908
Cl  0.1918  0.8924  0.6797
Cl  0.5608  0.0758  0.9387
Cl  0.9209  0.4462  0.9505

The 12 most intense peaks (2θ from 10° to 90°), in order of rising 2θ:
- 2θ = 15.00°, rel. 40
- 2θ = 15.35°, rel. 45
- 2θ = 16.07°, rel. 52
- 2θ = 16.33°, rel. 42
- 2θ = 23.59°, rel. 45
- 2θ = 25.85°, rel. 47
- 2θ = 26.15°, rel. 100
- 2θ = 26.86°, rel. 70
- 2θ = 28.04°, rel. 36
- 2θ = 28.26°, rel. 35
- 2θ = 31.22°, rel. 39
- 2θ = 34.56°, rel. 47



[9]
Starting from a DFT-relaxed cell (PBE, Alexandria), the X-ray powder pattern of Co3Te8Ir was calculated for CuKα.
Kinematic intensities with the Lorentz-polarization factor, no thermal factor.

Cell and atoms:
Cell lengths 6.7599, 6.7742, 7.6756 Å; angles 106.31, 106.56, 110.96 degrees
Positions (direct):
Co  0.0000  0.0000  0.0000
Co  0.0000  0.0000  0.5000
Co  0.5000  0.5000  0.0000
Te  0.2056  0.4482  0.6716
Te  0.2072  0.4468  0.1549
Te  0.2776  0.0349  0.3284
Te  0.2842  0.0506  0.8338
Te  0.7158  0.9494  0.1662
Te  0.7224  0.9651  0.6716
Te  0.7928  0.5532  0.8451
Te  0.7944  0.5518  0.3284
Ir  0.5000  0.5000  0.5000

The 12 most intense peaks (2θ from 10° to 90°), in order of rising 2θ:
- 2θ = 15.90°, rel. 30
- 2θ = 31.32°, rel. 100
- 2θ = 31.38°, rel. 50
- 2θ = 32.11°, rel. 10
- 2θ = 42.23°, rel. 20
- 2θ = 42.36°, rel. 39
- 2θ = 47.38°, rel. 51
- 2θ = 56.64°, rel. 10
- 2θ = 56.81°, rel. 20
- 2θ = 57.82°, rel. 8
- 2θ = 57.96°, rel. 17
- 2θ = 77.99°, rel. 13



[10]
Starting from a DFT-relaxed cell (PBE, Alexandria), the X-ray powder pattern of SmEr4Tc2 was calculated for CuKα.
Kinematic intensities with the Lorentz-polarization factor, no thermal factor.

Cell and atoms:
Cell lengths 7.7525, 6.2938, 7.9220 Å; angles 90.00, 111.97, 90.00 degrees
Positions (direct):
Sm  0.0222  0.2500  0.1569
Sm  0.9778  0.7500  0.8431
Er  0.2404  0.5007  0.5822
Er  0.2404  0.9993  0.5822
Er  0.3255  0.7500  0.2538
Er  0.3893  0.2500  0.0255
Er  0.6107  0.7500  0.9745
Er  0.6745  0.2500  0.7462
Er  0.7596  0.0007  0.4178
Er  0.7596  0.4993  0.4178
Tc  0.0358  0.2500  0.7517
Tc  0.4234  0.2500  0.3816
Tc  0.5766  0.7500  0.6184
Tc  0.9642  0.7500  0.2483

The 12 most intense peaks (2θ from 10° to 90°), in order of rising 2θ:
- 2θ = 30.95°, rel. 100
- 2θ = 31.21°, rel. 28
- 2θ = 31.56°, rel. 81
- 2θ = 33.97°, rel. 46
- 2θ = 34.39°, rel. 31
- 2θ = 36.30°, rel. 23
- 2θ = 36.62°, rel. 41
- 2θ = 36.91°, rel. 33
- 2θ = 37.65°, rel. 24
- 2θ = 38.00°, rel. 45
- 2θ = 39.49°, rel. 26
- 2θ = 52.54°, rel. 22



[11]
Starting from a DFT-relaxed cell (PBE, Alexandria), the X-ray powder pattern of Np2InSb4 was calculated for CuKα.
Kinematic intensities with the Lorentz-polarization factor, no thermal factor.

Cell and atoms:
Cell lengths 4.3264, 4.3264, 10.5912 Å; angles 90.00, 90.00, 90.00 degrees
Positions (direct):
Np  0.0000  0.5000  0.2284
Np  0.5000  0.0000  0.7716
In  0.0000  0.0000  0.5000
Sb  0.0000  0.0000  0.0000
Sb  0.0000  0.5000  0.6903
Sb  0.5000  0.0000  0.3097
Sb  0.5000  0.5000  0.0000

The 12 most intense peaks (2θ from 10° to 90°), in order of rising 2θ:
- 2θ = 22.20°, rel. 17
- 2θ = 26.61°, rel. 16
- 2θ = 32.74°, rel. 11
- 2θ = 33.84°, rel. 100
- 2θ = 39.92°, rel. 14
- 2θ = 41.76°, rel. 29
- 2θ = 47.80°, rel. 12
- 2θ = 54.80°, rel. 14
- 2θ = 59.14°, rel. 9
- 2θ = 60.54°, rel. 14
- 2θ = 65.32°, rel. 10
- 2θ = 71.18°, rel. 27



[12]
Starting from a DFT-relaxed cell (PBE, Alexandria), the X-ray powder pattern of H2S5 was calculated for CuKα.
Kinematic intensities with the Lorentz-polarization factor, no thermal factor.

Cell and atoms:
Cell lengths 7.8849, 7.8849, 8.4647 Å; angles 98.48, 98.48, 50.17 degrees
Positions (direct):
H  0.1095  0.1699  0.1328
H  0.1699  0.1095  0.6328
H  0.8301  0.8905  0.3672
H  0.8905  0.8301  0.8672
S  0.0158  0.6105  0.8226
S  0.1789  0.5998  0.6478
S  0.3895  0.9842  0.6774
S  0.4002  0.8211  0.8522
S  0.4701  0.5299  0.7500
S  0.5299  0.4701  0.2500
S  0.5998  0.1789  0.1478
S  0.6105  0.0158  0.3226
S  0.8211  0.4002  0.3522
S  0.9842  0.3895  0.1774

The 12 most intense peaks (2θ from 10° to 90°), in order of rising 2θ:
- 2θ = 14.66°, rel. 43
- 2θ = 17.51°, rel. 100
- 2θ = 18.72°, rel. 92
- 2θ = 21.28°, rel. 59
- 2θ = 23.14°, rel. 23
- 2θ = 25.06°, rel. 30
- 2θ = 26.67°, rel. 23
- 2θ = 26.80°, rel. 98
- 2θ = 30.41°, rel. 21
- 2θ = 30.77°, rel. 25
- 2θ = 37.07°, rel. 19
- 2θ = 47.16°, rel. 27